Theoretical XRD peak list of Tb5Cu4Pt for copper Kα, from a crystal structure in Alexandria, relaxed with GGA-PBE.

Cell and atoms:
Unit cell a=3.478 b=3.478 c=17.636 alpha=90.00 beta=90.00 gamma=90.00
Space group P4/mmm (No. 123)
Asymmetric unit:
Tb (0.000, 0.000, 0.000) [1 per cell]
Tb (0.000, 0.000, 0.200) [2 per cell]
Tb (0.000, 0.000, 0.401) [2 per cell]
Cu (0.500, 0.500, 0.099) [2 per cell]
Cu (0.500, 0.500, 0.297) [2 per cell]
Pt (0.500, 0.500, 0.500) [1 per cell]

Principal peaks in the range 2θ = 5–70°, in order of falling intensity:
h k l, d/Å, two_theta, intensity
1 0 5, 2.477, 36.27, 1000
1 1 0, 2.459, 36.54, 491
2 1 5, 1.423, 65.59, 348
0 0 1, 17.636, 5.01, 185
1 1 10, 1.433, 65.08, 178
2 0 0, 1.739, 52.63, 171
0 0 10, 1.764, 51.84, 89
1 0 0, 3.478, 25.61, 79
0 0 2, 8.818, 10.03, 48
0 0 5, 3.527, 25.25, 41